Diffraction record for Na6Mn2B4AsO16. The powder diffraction line list is computed, not measured: it uses DFT lattice parameters and positions (PBE+U) and Cu Kα, 1.54184 Å.
Intensities are scaled so that the largest is 100.

Atomic structure:
```
data_Na6Mn2B4AsO16
_chemical_formula_sum 'Na12 Mn4 B8 As2 O32'
_symmetry_space_group_name_H-M 'P 1'
_symmetry_Int_Tables_number 1
_cell_length_a 9.917
_cell_length_b 9.917
_cell_length_c 9.917
_cell_angle_alpha 60.00
_cell_angle_beta 60.00
_cell_angle_gamma 60.00
loop_
_symmetry_equiv_pos_as_xyz
'x,y,z'
loop_
_atom_site_label
_atom_site_fract_x
_atom_site_fract_y
_atom_site_fract_z
Na1 0.092 0.092 0.658
Na2 0.092 0.658 0.092
Na3 0.092 0.658 0.658
Na4 0.342 0.342 0.908
Na5 0.342 0.908 0.342
Na6 0.342 0.908 0.908
Na7 0.658 0.092 0.092
Na8 0.658 0.092 0.658
Na9 0.658 0.658 0.092
Na10 0.908 0.342 0.342
Na11 0.908 0.342 0.908
Na12 0.908 0.908 0.342
Mn1 0.000 0.500 0.500
Mn2 0.500 0.000 0.500
Mn3 0.500 0.500 0.000
Mn4 0.500 0.500 0.500
B1 0.290 0.290 0.290
B2 0.290 0.290 0.630
B3 0.290 0.630 0.290
B4 0.370 0.710 0.710
B5 0.630 0.290 0.290
B6 0.710 0.370 0.710
B7 0.710 0.710 0.370
B8 0.710 0.710 0.710
As1 0.125 0.125 0.125
As2 0.875 0.875 0.875
O1 0.054 0.054 0.054
O2 0.054 0.054 0.337
O3 0.054 0.337 0.054
O4 0.135 0.321 0.637
O5 0.135 0.408 0.321
O6 0.135 0.637 0.408
O7 0.321 0.135 0.408
O8 0.321 0.408 0.637
O9 0.321 0.637 0.135
O10 0.337 0.054 0.054
O11 0.363 0.592 0.865
O12 0.363 0.679 0.592
O13 0.363 0.865 0.679
O14 0.408 0.135 0.637
O15 0.408 0.321 0.135
O16 0.408 0.637 0.321
O17 0.592 0.363 0.679
O18 0.592 0.679 0.865
O19 0.592 0.865 0.363
O20 0.637 0.135 0.321
O21 0.637 0.321 0.408
O22 0.637 0.408 0.135
O23 0.663 0.946 0.946
O24 0.679 0.363 0.865
O25 0.679 0.592 0.363
O26 0.679 0.865 0.592
O27 0.865 0.363 0.592
O28 0.865 0.592 0.679
O29 0.865 0.679 0.363
O30 0.946 0.663 0.946
O31 0.946 0.946 0.663
O32 0.946 0.946 0.946
```

Most intense lines, 2θ from 5° to 70°, by angle:
17.89°, I = 25; 21.01°, I = 100; 21.95°, I = 20; 33.19°, I = 72; 36.23°, I = 58; 46.23°, I = 16; 49.95°, I = 13; 52.18°, I = 15; 56.86°, I = 30; 63.25°, I = 17; 65.18°, I = 16; 69.31°, I = 16